# 1
Structure and computed X-ray powder pattern of K8Te2As (a crystal structure in Alexandria, relaxed with PBE; Cu Kα, 1.54184 Å).

Top 10 peaks for 10 to 90 degrees two-theta, in order of falling intensity:
d [Å], I (rel.)
2.947, 1000
3.196, 342
2.936, 326
4.991, 314
4.750, 255
1.697, 177
3.718, 175
2.469, 122
3.175, 120
2.531, 113

Unit cell a=10.753 b=10.753 c=10.753 alpha=148.31 beta=135.89 gamma=55.33
Fractional coordinates of all 11 atoms:
K 0.135 0.368 0.766
K 0.196 0.196 0.000
K 0.244 0.000 0.244
K 0.398 0.632 0.766
K 0.602 0.368 0.234
K 0.756 0.000 0.756
K 0.804 0.804 0.000
K 0.865 0.632 0.234
Te 0.305 0.805 0.500
Te 0.695 0.195 0.500
As 0.000 0.500 0.500

***

# 2
Structure and computed X-ray powder pattern of Er3Zn2Pd4 (a crystal structure in Alexandria, relaxed with PBE; Cu Kα, 1.54184 Å).

Top 10 peaks for 10 to 90 degrees two-theta, in order of falling intensity:
d [Å], I (rel.)
2.577, 1000
2.275, 932
2.512, 795
2.114, 518
2.564, 386
2.764, 314
2.708, 273
1.631, 194
2.872, 188
1.733, 164

Unit cell a=5.875 b=5.875 c=8.643 alpha=115.20 beta=115.20 gamma=42.17
Fractional coordinates of all 9 atoms:
Er 0.000 0.000 0.000
Er 0.357 0.357 0.307
Er 0.643 0.643 0.693
Zn 0.340 0.340 0.673
Zn 0.660 0.660 0.327
Pd 0.075 0.075 0.408
Pd 0.291 0.291 0.933
Pd 0.709 0.709 0.067
Pd 0.925 0.925 0.592